The following is a simulated X-ray diffraction stick pattern of Ca3Si8P14. It was derived from the GGA-PBE geometry in the Materials Project, using Cu Ka.
Peak positions follow from Bragg's law for the DFT cell and can differ from measured ones.

The 10 most intense peaks (5° ≤ 2θ ≤ 70°), in order of rising 2θ:
2θ = 25.3°, I 48, hkl 1 3 -1; 2θ = 28.6°, I 41, hkl 2 3 1; 2θ = 29.2°, I 100, hkl 4 0 0; 2θ = 29.6°, I 91, hkl 1 0 2; 2θ = 30.9°, I 68, hkl 1 4 -1; 2θ = 31.0°, I 27, hkl 1 4 1; 2θ = 33.1°, I 32, hkl 3 3 1; 2θ = 38.2°, I 44, hkl 4 3 -1; 2θ = 48.1°, I 43, hkl 0 3 3; 2θ = 51.5°, I 37, hkl 0 4 3

Cell and atoms:
a = 12.217 Å, b = 13.533 Å, c = 6.258 Å
α = 90.00°, β = 90.96°, γ = 90.00°
Positions (direct):
Ca  0.000  0.000  0.000
Ca  0.000  0.500  0.500
Ca  0.333  0.157  0.822
Ca  0.333  0.343  0.322
Ca  0.667  0.657  0.678
Ca  0.667  0.843  0.178
Si  0.084  0.187  0.463
Si  0.084  0.313  0.963
Si  0.111  0.686  0.042
Si  0.111  0.814  0.542
Si  0.347  0.546  0.882
Si  0.347  0.954  0.382
Si  0.350  0.688  0.383
Si  0.350  0.812  0.883
Si  0.650  0.188  0.117
Si  0.650  0.312  0.617
Si  0.653  0.046  0.618
Si  0.653  0.454  0.118
Si  0.889  0.186  0.458
Si  0.889  0.314  0.958
Si  0.916  0.687  0.037
Si  0.916  0.813  0.537
P  0.141  0.053  0.642
P  0.141  0.447  0.142
P  0.147  0.177  0.128
P  0.147  0.323  0.628
P  0.162  0.547  0.871
P  0.162  0.953  0.371
P  0.166  0.672  0.389
P  0.166  0.828  0.889
P  0.409  0.106  0.288
P  0.409  0.394  0.788
P  0.418  0.553  0.225
P  0.418  0.947  0.725
P  0.425  0.679  0.717
P  0.425  0.821  0.217
P  0.575  0.179  0.783
P  0.575  0.321  0.283
P  0.582  0.053  0.275
P  0.582  0.447  0.775
P  0.591  0.606  0.212
P  0.591  0.894  0.712
P  0.834  0.172  0.111
P  0.834  0.328  0.611
P  0.838  0.047  0.629
P  0.838  0.453  0.129
P  0.853  0.677  0.372
P  0.853  0.823  0.872
P  0.859  0.553  0.858
P  0.859  0.947  0.358